Calculated XRD peak list of Li2Au for a wavelength of 1.5418 Å, from a structure optimized by DFT (GGA-PBE).
Peak positions follow from Bragg's law for the DFT cell and can differ from measured ones.

The 6 most intense peaks (2θ = 10–80°), sorted by position:
hkl 0 0 2, 2θ 20.89, I = 55
hkl 1 0 1, 2θ 28.80, I = 100
hkl 1 1 0, 2θ 38.23, I = 28
hkl 1 0 3, 2θ 41.85, I = 44
hkl 1 1 2, 2θ 43.97, I = 33
hkl 2 1 1, 2θ 63.43, I = 22

Cell: 3.329 3.329 8.505 Å, 90.00 90.00 90.00°
Space group I4/mmm (No. 139)
Asymmetric unit:
Li (0.000, 0.000, 0.158) [4 per cell]
Au (0.000, 0.000, 0.500) [2 per cell]